The following is a theoretical PXRD pattern of LiCr4Hg2O8. It was derived from DFT lattice parameters and positions (PBE+U), using copper Kα.

Most intense lines, 2θ from 10° to 80°, low angle first:
2theta	intensity
15.93	541
26.62	431
27.54	747
29.23	1000
29.42	489
32.18	443
32.93	973
33.63	966
33.99	904
34.35	441
51.11	556
60.62	341

Structural model:
Lattice parameters (Å, degrees): 6.115 6.115 6.721 119.16 119.16 59.53
Positions (direct):
Li  0.000  0.000  0.000
Cr  0.023  0.524  0.005
Cr  0.523  0.523  0.007
Cr  0.524  0.023  0.005
Cr  0.529  0.529  0.506
Hg  0.191  0.191  0.452
Hg  0.887  0.887  0.556
O  0.272  0.739  0.207
O  0.293  0.293  0.230
O  0.294  0.294  0.832
O  0.312  0.773  0.805
O  0.739  0.272  0.207
O  0.750  0.750  0.177
O  0.763  0.763  0.789
O  0.773  0.312  0.805